The following is a computed XRD peak list of CsTiCr2O8. It was derived from a DFT-relaxed cell (PBE+U, Alexandria), using λ = 1.5418 Å (Cu Kα).

Principal peaks in the range 10° ≤ 2θ ≤ 90°, low angle first:
- 18.6 deg, I = 34
- 19.1 deg, I = 37
- 21.2 deg, I = 48
- 21.6 deg, I = 86
- 27.6 deg, I = 100
- 28.4 deg, I = 35
- 32.2 deg, I = 31
- 33.1 deg, I = 56

Crystal structure
```
data_CsTiCr2O8
_chemical_formula_sum 'Cs2 Ti2 Cr4 O16'
_cell_length_a 9.315
_cell_length_b 5.562
_cell_length_c 8.554
_cell_angle_alpha 90.00
_cell_angle_beta 93.25
_cell_angle_gamma 90.00
_space_group_name_H-M_alt 'C 1 2/m 1'
_space_group_IT_number 12
_space_group_name_Hall '-C 2y'
loop_
_atom_site_label
_atom_site_type_symbol
_atom_site_fract_x
_atom_site_fract_y
_atom_site_fract_z
Cs1 Cs 0.000 0.000 0.000
Ti1 Ti 0.000 0.000 0.500
Cr1 Cr 0.144 0.500 0.304
O1 O 0.050 0.248 0.347
O2 O 0.174 0.500 0.118
O3 O 0.198 0.000 0.588
```